This entry pairs a crystal structure of CsMgSc2I8 with its theoretical powder XRD pattern. Radiation: Cu Kα X-rays. Structure: a DFT-relaxed cell (GGA-PBE, Alexandria).

Main lines, sorted by position (10 to 80 degrees two-theta):
2θ (°)  I/Imax
24.42  35.8
24.62  100.0
28.45  65.7
40.54  32.7
40.79  33.4
47.89  14.4
48.12  32.4
48.23  15.3

Structure:
```
CsMgSc2I8
1.0
3.8312 2.2120 10.9354
-3.8312 2.2120 10.9354
0.0000 -4.4239 10.9354
Cs Mg Sc I
1 1 2 8
direct
0.0000 0.0000 0.0000 Cs
0.5000 0.5000 0.5000 Mg
0.2443 0.2443 0.2443 Sc
0.7557 0.7557 0.7557 Sc
0.1291 0.7732 0.4366 I
0.2268 0.5634 0.8709 I
0.3275 0.3275 0.3275 I
0.4366 0.1291 0.7732 I
0.5634 0.8709 0.2268 I
0.6725 0.6725 0.6725 I
0.7732 0.4366 0.1291 I
0.8709 0.2268 0.5634 I
```